Structure and computed powder XRD pattern of LiFe6Ge5 (a PBE-relaxed structure; copper Kα).

The 6 most intense peaks (10° ≤ 2θ ≤ 90°), by intensity:
- 47.70°, intensity 1000
- 43.85°, intensity 969
- 46.67°, intensity 907
- 35.70°, intensity 549
- 41.51°, intensity 475
- 75.62°, intensity 428

Structural model:
abc: 14.746 14.746 14.746
angles: 19.64 19.64 19.64
Fractional coordinates of all 24 atoms:
Li 0.088 0.088 0.088
Li 0.912 0.912 0.912
Fe 0.046 0.546 0.546
Fe 0.146 0.636 0.636
Fe 0.364 0.364 0.854
Fe 0.364 0.854 0.364
Fe 0.454 0.454 0.954
Fe 0.454 0.954 0.454
Fe 0.546 0.046 0.546
Fe 0.546 0.546 0.046
Fe 0.636 0.146 0.636
Fe 0.636 0.636 0.146
Fe 0.854 0.364 0.364
Fe 0.954 0.454 0.454
Ge 0.029 0.029 0.029
Ge 0.147 0.147 0.147
Ge 0.241 0.241 0.241
Ge 0.333 0.333 0.333
Ge 0.425 0.425 0.425
Ge 0.575 0.575 0.575
Ge 0.667 0.667 0.667
Ge 0.759 0.759 0.759
Ge 0.853 0.853 0.853
Ge 0.971 0.971 0.971

---

Structure and computed powder XRD pattern of SmVSb3 (a PBE-relaxed structure; copper Kα).

The 6 most intense peaks (10° ≤ 2θ ≤ 90°), by intensity:
- 32.75°, intensity 1000
- 34.06°, intensity 790
- 16.84°, intensity 674
- 36.27°, intensity 637
- 10.51°, intensity 499
- 38.61°, intensity 466

Structural model:
abc: 8.420 6.919 10.530
angles: 90.00 90.00 90.00
Fractional coordinates of all 20 atoms:
Sm 0.207 0.166 0.250
Sm 0.207 0.334 0.750
Sm 0.793 0.666 0.250
Sm 0.793 0.834 0.750
V 0.294 0.750 0.000
V 0.294 0.750 0.500
V 0.706 0.250 0.000
V 0.706 0.250 0.500
Sb 0.156 0.726 0.250
Sb 0.156 0.774 0.750
Sb 0.385 0.250 0.000
Sb 0.385 0.250 0.500
Sb 0.442 0.514 0.250
Sb 0.442 0.986 0.750
Sb 0.558 0.014 0.250
Sb 0.558 0.486 0.750
Sb 0.615 0.750 0.000
Sb 0.615 0.750 0.500
Sb 0.844 0.226 0.250
Sb 0.844 0.274 0.750

---

Structure and computed powder XRD pattern of Ba4Sn3O10 (a PBE-relaxed structure; copper Kα).

The 6 most intense peaks (10° ≤ 2θ ≤ 90°), by intensity:
- 27.65°, intensity 1000
- 31.14°, intensity 793
- 29.52°, intensity 683
- 25.30°, intensity 491
- 39.25°, intensity 367
- 30.08°, intensity 250

Structural model:
abc: 7.446 7.446 14.090
angles: 90.00 90.00 132.04
Fractional coordinates of all 34 atoms:
Ba 0.032 0.968 0.857
Ba 0.237 0.763 0.609
Ba 0.263 0.737 0.109
Ba 0.468 0.532 0.357
Ba 0.532 0.468 0.643
Ba 0.737 0.263 0.891
Ba 0.763 0.237 0.391
Ba 0.968 0.032 0.143
Sn 0.000 0.000 0.500
Sn 0.135 0.865 0.345
Sn 0.365 0.635 0.845
Sn 0.500 0.500 0.000
Sn 0.635 0.365 0.155
Sn 0.865 0.135 0.655
O 0.032 0.968 0.646
O 0.118 0.339 0.538
O 0.134 0.366 0.750
O 0.161 0.382 0.962
O 0.218 0.782 0.844
O 0.282 0.718 0.344
O 0.339 0.118 0.462
O 0.366 0.134 0.250
O 0.382 0.161 0.038
O 0.468 0.532 0.146
O 0.532 0.468 0.854
O 0.618 0.839 0.962
O 0.634 0.866 0.750
O 0.661 0.882 0.538
O 0.718 0.282 0.656
O 0.782 0.218 0.156
O 0.839 0.618 0.038
O 0.866 0.634 0.250
O 0.882 0.661 0.462
O 0.968 0.032 0.354